Entry 1:
# Na2Ta2O5
Simulated X-ray diffraction stick pattern, Cu Kα, 1.54184 Å. Input: a DFT-relaxed cell (PBE, Alexandria).

The 8 most intense peaks (10 to 90 degrees two-theta), in order of falling intensity:
d = 3.950 Å, rel. 100; d = 2.791 Å, rel. 86; d = 1.611 Å, rel. 28; d = 1.767 Å, rel. 21; d = 1.978 Å, rel. 21; d = 2.802 Å, rel. 18; d = 1.396 Å, rel. 15; d = 1.763 Å, rel. 15

Crystal structure
a = 8.815 Å, b = 8.815 Å, c = 8.815 Å
α = 143.07°, β = 53.32°, γ = 142.93°
Fractional positions:
Na  0.126  0.005  0.121
Na  0.384  0.005  0.379
Na  0.616  0.995  0.621
Na  0.874  0.995  0.879
Ta  0.000  0.500  0.500
Ta  0.248  0.498  0.750
Ta  0.500  0.500  0.000
Ta  0.752  0.502  0.250
O  0.000  0.000  0.500
O  0.000  0.500  0.000
O  0.172  0.545  0.627
O  0.239  0.000  0.739
O  0.239  0.500  0.239
O  0.417  0.545  0.873
O  0.583  0.455  0.127
O  0.761  0.000  0.261
O  0.761  0.500  0.761
O  0.828  0.455  0.373

Entry 2:
# YEr6Mg
Simulated X-ray diffraction stick pattern, Cu Kα, 1.54184 Å. Input: a DFT-relaxed cell (PBE, Alexandria).

The 8 most intense peaks (10 to 90 degrees two-theta), in order of falling intensity:
d = 2.847 Å, rel. 100; d = 2.449 Å, rel. 33; d = 1.480 Å, rel. 28; d = 1.749 Å, rel. 24; d = 2.498 Å, rel. 17; d = 1.501 Å, rel. 15; d = 1.423 Å, rel. 12; d = 1.134 Å, rel. 12

Crystal structure
a = 6.928 Å, b = 6.928 Å, c = 4.996 Å
α = 90.00°, β = 90.00°, γ = 90.00°
Fractional positions:
Y  0.000  0.000  0.000
Er  0.000  0.500  0.000
Er  0.247  0.247  0.500
Er  0.247  0.753  0.500
Er  0.500  0.000  0.000
Er  0.753  0.247  0.500
Er  0.753  0.753  0.500
Mg  0.500  0.500  0.000

Entry 3:
# Pa2Tl2NiSe6
Simulated X-ray diffraction stick pattern, Cu Kα, 1.54184 Å. Input: a DFT-relaxed cell (PBE, Alexandria).

The 8 most intense peaks (10 to 90 degrees two-theta), in order of falling intensity:
d = 3.040 Å, rel. 100; d = 2.943 Å, rel. 41; d = 1.977 Å, rel. 37; d = 2.286 Å, rel. 33; d = 5.323 Å, rel. 29; d = 7.964 Å, rel. 20; d = 2.228 Å, rel. 19; d = 2.078 Å, rel. 17

Crystal structure
a = 7.088 Å, b = 7.088 Å, c = 8.288 Å
α = 97.57°, β = 97.57°, γ = 123.21°
Fractional positions:
Pa  0.162  0.838  0.000
Pa  0.838  0.162  0.000
Tl  0.339  0.661  0.500
Tl  0.661  0.339  0.500
Ni  0.500  0.500  0.000
Se  0.087  0.438  0.795
Se  0.265  0.265  0.179
Se  0.438  0.087  0.795
Se  0.562  0.913  0.205
Se  0.735  0.735  0.821
Se  0.913  0.562  0.205

Entry 4:
# NaIn2Hg8
Simulated X-ray diffraction stick pattern, Cu Kα, 1.54184 Å. Input: a DFT-relaxed cell (PBE, Alexandria).

The 8 most intense peaks (10 to 90 degrees two-theta), in order of falling intensity:
d = 2.761 Å, rel. 100; d = 2.548 Å, rel. 80; d = 2.616 Å, rel. 44; d = 2.609 Å, rel. 43; d = 2.010 Å, rel. 20; d = 1.577 Å, rel. 19; d = 1.580 Å, rel. 19; d = 1.537 Å, rel. 18

Crystal structure
a = 9.032 Å, b = 9.032 Å, c = 8.737 Å
α = 99.63°, β = 99.63°, γ = 24.27°
Fractional positions:
Na  0.000  0.000  0.000
In  0.275  0.275  0.360
In  0.725  0.725  0.640
Hg  0.091  0.091  0.458
Hg  0.178  0.178  0.910
Hg  0.362  0.362  0.818
Hg  0.459  0.459  0.269
Hg  0.541  0.541  0.731
Hg  0.638  0.638  0.182
Hg  0.822  0.822  0.090
Hg  0.909  0.909  0.542

Entry 5:
# ZrGaP
Simulated X-ray diffraction stick pattern, Cu Kα, 1.54184 Å. Input: a DFT-relaxed cell (PBE, Alexandria).

The 8 most intense peaks (10 to 90 degrees two-theta), in order of falling intensity:
d = 2.684 Å, rel. 100; d = 2.383 Å, rel. 78; d = 2.366 Å, rel. 65; d = 1.985 Å, rel. 57; d = 2.970 Å, rel. 43; d = 3.158 Å, rel. 39; d = 3.965 Å, rel. 28; d = 1.445 Å, rel. 27

Crystal structure
a = 3.651 Å, b = 6.293 Å, c = 5.106 Å
α = 90.00°, β = 90.00°, γ = 90.00°
Fractional positions:
Zr  0.000  0.129  0.000
Zr  0.500  0.871  0.500
Ga  0.000  0.544  0.715
Ga  0.500  0.456  0.215
P  0.000  0.169  0.502
P  0.500  0.831  0.002

Entry 6:
# La4SmIn3
Simulated X-ray diffraction stick pattern, Cu Kα, 1.54184 Å. Input: a DFT-relaxed cell (PBE, Alexandria).

The 8 most intense peaks (10 to 90 degrees two-theta), in order of falling intensity:
d = 2.718 Å, rel. 100; d = 2.876 Å, rel. 43; d = 2.979 Å, rel. 25; d = 2.675 Å, rel. 24; d = 1.628 Å, rel. 21; d = 2.922 Å, rel. 20; d = 1.499 Å, rel. 20; d = 1.756 Å, rel. 17

Crystal structure
a = 11.504 Å, b = 7.174 Å, c = 6.043 Å
α = 90.00°, β = 90.00°, γ = 90.00°
Fractional positions:
La  0.000  0.242  0.000
La  0.000  0.758  0.000
La  0.250  0.237  0.369
La  0.250  0.763  0.369
La  0.500  0.242  0.000
La  0.500  0.758  0.000
La  0.750  0.237  0.631
La  0.750  0.763  0.631
Sm  0.000  0.500  0.500
Sm  0.500  0.500  0.500
In  0.000  0.000  0.500
In  0.250  0.000  0.859
In  0.250  0.500  0.852
In  0.500  0.000  0.500
In  0.750  0.000  0.141
In  0.750  0.500  0.148

Entry 7:
# RbHoBeS3
Simulated X-ray diffraction stick pattern, Cu Kα, 1.54184 Å. Input: a DFT-relaxed cell (PBE, Alexandria).

The 8 most intense peaks (10 to 90 degrees two-theta), in order of falling intensity:
d = 2.945 Å, rel. 100; d = 7.581 Å, rel. 80; d = 8.670 Å, rel. 74; d = 3.531 Å, rel. 50; d = 2.891 Å, rel. 45; d = 2.879 Å, rel. 42; d = 3.790 Å, rel. 33; d = 2.328 Å, rel. 31

Crystal structure
a = 9.205 Å, b = 3.867 Å, c = 9.258 Å
α = 90.00°, β = 110.42°, γ = 90.00°
Fractional positions:
Rb  0.206  0.250  0.237
Rb  0.794  0.750  0.763
Ho  0.333  0.750  0.852
Ho  0.667  0.250  0.148
Be  0.075  0.250  0.605
Be  0.925  0.750  0.395
S  0.121  0.250  0.840
S  0.163  0.750  0.533
S  0.467  0.750  0.162
S  0.533  0.250  0.838
S  0.837  0.250  0.467
S  0.879  0.750  0.160

Entry 8:
# CdIrBr2
Simulated X-ray diffraction stick pattern, Cu Kα, 1.54184 Å. Input: a DFT-relaxed cell (PBE, Alexandria).

The 8 most intense peaks (10 to 90 degrees two-theta), in order of falling intensity:
d = 6.542 Å, rel. 100; d = 2.458 Å, rel. 45; d = 5.008 Å, rel. 44; d = 3.238 Å, rel. 41; d = 1.821 Å, rel. 36; d = 2.710 Å, rel. 29; d = 2.078 Å, rel. 24; d = 2.504 Å, rel. 19

Crystal structure
a = 5.420 Å, b = 3.727 Å, c = 7.079 Å
α = 90.00°, β = 112.46°, γ = 90.00°
Fractional positions:
Cd  0.000  0.000  0.000
Ir  0.500  0.000  0.000
Br  0.372  0.500  0.744
Br  0.628  0.500  0.256